The following is a theoretical powder XRD pattern of Li2Tb2Co15. It was derived from DFT lattice parameters and positions (GGA-PBE), using Cu Ka.
No peak broadening, texture or thermal motion is included.

Lattice parameters (Å, degrees): 6.279 6.279 6.279 83.71 83.71 83.71
Sites, in units of the cell vectors:
Li1 0.096 0.096 0.096
Li2 0.904 0.904 0.904
Tb1 0.344 0.344 0.344
Tb2 0.656 0.656 0.656
Co1 0.000 0.000 0.500
Co2 0.000 0.292 0.708
Co3 0.000 0.500 0.000
Co4 0.000 0.708 0.292
Co5 0.156 0.652 0.652
Co6 0.292 0.000 0.708
Co7 0.292 0.708 0.000
Co8 0.348 0.348 0.844
Co9 0.348 0.844 0.348
Co10 0.500 0.000 0.000
Co11 0.652 0.156 0.652
Co12 0.652 0.652 0.156
Co13 0.708 0.000 0.292
Co14 0.708 0.292 0.000
Co15 0.844 0.348 0.348

Most intense lines, 2θ = 5–70°, low angle first:
Position (°2θ)	Rel. int.
14.26	18
25.65	18
30.90	42
37.17	25
38.94	20
43.19	45
43.73	100
45.31	39
63.15	17
64.39	20